Starting from a PBE-relaxed structure, the powder diffraction line list of CaAg2O4 was simulated for Cu Kα (weighted mean of Kα1 and Kα2).

Cell and atoms:
Unit cell a=5.9285 b=11.4183 c=6.5965 alpha=90.00 beta=90.00 gamma=90.00
Space group Pmmn (No. 59, origin choice 2)
Inequivalent atoms, fractional coordinates:
Ca1 0.2500 0.2500 0.1616
Ca2 0.2500 0.7500 0.2527
Ag1 0.0000 0.0000 0.5000
Ag2 0.2500 0.5042 0.9756
O1 0.0007 0.1209 0.9536
O2 0.2500 0.1067 0.4020
O3 0.2500 0.6206 0.5226

Principal peaks in the range 10° ≤ 2θ ≤ 90°, by angle:
(hkl)  2θ (°)  Rel. int.
0 2 0  15.52  100.0
0 0 2  27.03  44.6
0 2 2  31.32  88.3
2 0 1  33.13  26.4
2 2 1  36.78  57.6
2 4 1  46.25  57.0